Record 1
This entry pairs a crystal structure of Pr2Er5Th2 with its simulated XRD peak list. Radiation: CuKα. Structure: a DFT-relaxed cell (GGA-PBE, Alexandria).

Main lines, low angle first (2θ = 10–90°):
| 2θ (°) | I_rel |
| --- | --- |
| 11.05 | 36 |
| 25.02 | 34 |
| 28.01 | 31 |
| 28.52 | 31 |
| 29.59 | 58 |
| 29.82 | 59 |
| 31.27 | 25 |
| 32.66 | 48 |
| 33.28 | 44 |
| 35.08 | 64 |
| 35.76 | 100 |
| 52.67 | 36 |

Structural model:
Unit cell a=11.294 b=11.294 c=8.106 alpha=99.00 beta=99.00 gamma=17.72
Positions (direct):
Pr1 0.177 0.177 0.145
Pr2 0.823 0.823 0.855
Er1 0.000 0.000 0.000
Er2 0.091 0.091 0.726
Er3 0.308 0.308 0.457
Er4 0.692 0.692 0.543
Er5 0.909 0.909 0.274
Th1 0.449 0.449 0.648
Th2 0.551 0.551 0.352


Record 2
This entry pairs a crystal structure of Pr6ErTh2 with its simulated XRD peak list. Radiation: CuKα. Structure: a DFT-relaxed cell (GGA-PBE, Alexandria).

Main lines, low angle first (2θ = 10–90°):
| 2θ (°) | I_rel |
| --- | --- |
| 28.74 | 49 |
| 29.59 | 30 |
| 30.09 | 100 |
| 30.31 | 36 |
| 30.63 | 97 |
| 31.10 | 90 |
| 31.56 | 63 |
| 33.56 | 39 |
| 33.75 | 29 |
| 40.09 | 28 |
| 61.16 | 27 |
| 61.47 | 27 |

Structural model:
Unit cell a=9.036 b=9.036 c=12.390 alpha=125.31 beta=125.31 gamma=22.49
Positions (direct):
Pr1 0.042 0.042 0.257
Pr2 0.227 0.227 0.612
Pr3 0.382 0.382 0.944
Pr4 0.618 0.618 0.056
Pr5 0.773 0.773 0.388
Pr6 0.958 0.958 0.743
Er1 0.000 0.000 0.500
Th1 0.328 0.328 0.169
Th2 0.672 0.672 0.831